Starting from a PBE-relaxed structure, the X-ray diffraction stick pattern of PmPr2Ir2 was computed for Cu Kα.
Intensities are scaled so that the largest is 100.

Structural model:
```
data_PmPr2Ir2
_symmetry_space_group_name_H-M 'I m m m'
_symmetry_Int_Tables_number 71
_symmetry_space_group_name_Hall '-I 2 2'
_cell_length_a 4.2939
_cell_length_b 6.4478
_cell_length_c 9.3723
_cell_angle_alpha 90.00
_cell_angle_beta 90.00
_cell_angle_gamma 90.00
loop_
_atom_site_label
_atom_site_type_symbol
_atom_site_fract_x
_atom_site_fract_y
_atom_site_fract_z
Pm1 Pm 0.0000 0.0000 0.0000
Pr1 Pr 0.0000 0.5000 0.1977
Ir1 Ir 0.0000 0.2063 0.5000
```

Principal peaks in the range 10 to 90 degrees two-theta, sorted by position:
2θ (°)	d/Å	intensity	h k l
18.9	4.686	34.2	0 0 2
31.5	2.842	100.0	1 1 2
33.7	2.656	29.5	0 2 2
35.5	2.526	35.2	1 0 3
36.1	2.486	96.8	1 2 1
38.4	2.343	23.2	0 0 4
42.1	2.147	33.0	2 0 0
51.6	1.771	24.4	0 3 3
61.1	1.516	38.1	1 2 5
68.7	1.366	20.7	2 3 3

=====

Starting from a PBE-relaxed structure, the X-ray diffraction stick pattern of LiAlPt3 was computed for Cu Kα.
Intensities are scaled so that the largest is 100.

Structural model:
```
data_LiAlPt3
_symmetry_space_group_name_H-M 'P m -3 m'
_symmetry_Int_Tables_number 221
_symmetry_space_group_name_Hall '-P 4 2 3'
_cell_length_a 4.5849
_cell_length_b 4.5849
_cell_length_c 4.5849
_cell_angle_alpha 90.00
_cell_angle_beta 90.00
_cell_angle_gamma 90.00
loop_
_atom_site_label
_atom_site_type_symbol
_atom_site_fract_x
_atom_site_fract_y
_atom_site_fract_z
Li1 Li 0.0000 0.0000 0.0000
Al1 Al 0.5000 0.5000 0.5000
Pt1 Pt 0.0000 0.5000 0.5000
```

Principal peaks in the range 10 to 90 degrees two-theta, sorted by position:
2θ (°)	d/Å	intensity	h k l
19.4	4.585	45.0	1 0 0
27.5	3.242	21.0	1 1 0
33.9	2.647	100.0	1 1 1
39.3	2.292	60.5	2 0 0
44.2	2.050	21.6	2 1 0
48.6	1.872	9.2	2 1 1
56.8	1.621	42.0	2 2 0
60.6	1.528	10.7	3 0 0
67.8	1.382	41.4	3 1 1
71.2	1.324	14.3	2 2 2

=====

Starting from a PBE-relaxed structure, the X-ray diffraction stick pattern of Nd3HoSb2 was computed for Cu Kα.
Intensities are scaled so that the largest is 100.

Structural model:
```
data_Nd3HoSb2
_symmetry_space_group_name_H-M 'P -4 m 2'
_symmetry_Int_Tables_number 115
_cell_length_a 4.5720
_cell_length_b 4.5720
_cell_length_c 8.7869
_cell_angle_alpha 90.00
_cell_angle_beta 90.00
_cell_angle_gamma 90.00
loop_
_symmetry_equiv_pos_as_xyz
'x,y,z'
'y,-x,-z'
'-x,-y,z'
'-y,x,-z'
'-x,y,z'
'-y,-x,-z'
'x,-y,z'
'y,x,-z'
loop_
_atom_site_label
_atom_site_type_symbol
_atom_site_fract_x
_atom_site_fract_y
_atom_site_fract_z
Nd1 Nd 0.0000 0.0000 0.0000
Nd2 Nd 0.0000 0.5000 0.6459
Ho1 Ho 0.5000 0.5000 0.0000
Sb1 Sb 0.0000 0.5000 0.2756
```

Principal peaks in the range 10 to 90 degrees two-theta, sorted by position:
2θ (°)	d/Å	intensity	h k l
29.4	3.034	100.0	1 1 1
30.5	2.929	39.4	0 0 3
34.4	2.604	90.9	1 1 2
36.4	2.466	22.0	1 0 3
39.4	2.286	58.8	2 0 0
50.7	1.802	38.3	2 0 3
57.0	1.616	20.0	2 2 0
65.4	1.427	20.5	3 1 1
66.0	1.415	17.2	2 2 3
68.3	1.373	24.6	3 1 2

=====

Starting from a PBE-relaxed structure, the X-ray diffraction stick pattern of Sn2BiTe4Pb was computed for Cu Kα.
Intensities are scaled so that the largest is 100.

Structural model:
```
data_Sn2BiTe4Pb
_symmetry_space_group_name_H-M 'I -4 m 2'
_symmetry_Int_Tables_number 119
_symmetry_space_group_name_Hall 'I -4 -2'
_cell_length_a 6.4979
_cell_length_b 6.4979
_cell_length_c 12.8069
_cell_angle_alpha 90.00
_cell_angle_beta 90.00
_cell_angle_gamma 90.00
loop_
_atom_site_label
_atom_site_type_symbol
_atom_site_fract_x
_atom_site_fract_y
_atom_site_fract_z
Sn1 Sn 0.0000 0.0000 0.0000
Sn2 Sn 0.0000 0.5000 0.2500
Bi1 Bi 0.0000 0.0000 0.5000
Te1 Te 0.0000 0.0000 0.2519
Te2 Te 0.0000 0.5000 0.0031
Pb1 Pb 0.0000 0.5000 0.7500
```

Principal peaks in the range 10 to 90 degrees two-theta, sorted by position:
2θ (°)	d/Å	intensity	h k l
27.5	3.249	100.0	2 0 0
27.9	3.202	48.1	0 0 4
39.2	2.297	39.1	2 2 0
39.5	2.280	76.4	2 0 4
48.8	1.867	42.0	2 2 4
56.7	1.624	13.5	4 0 0
64.1	1.453	18.7	4 2 0
64.3	1.449	18.5	4 0 4
64.9	1.436	17.9	2 0 8
71.3	1.323	27.5	4 2 4

=====

Starting from a PBE-relaxed structure, the X-ray diffraction stick pattern of Tm6Pb5 was computed for Cu Kα.
Intensities are scaled so that the largest is 100.

Structural model:
```
data_Tm6Pb5
_symmetry_space_group_name_H-M 'P -1'
_symmetry_Int_Tables_number 2
_cell_length_a 5.0259
_cell_length_b 8.1671
_cell_length_c 8.1793
_cell_angle_alpha 89.98
_cell_angle_beta 89.95
_cell_angle_gamma 72.45
loop_
_symmetry_equiv_pos_as_xyz
'x,y,z'
'-x,-y,-z'
loop_
_atom_site_label
_atom_site_type_symbol
_atom_site_fract_x
_atom_site_fract_y
_atom_site_fract_z
Tm1 Tm 0.9998 0.0000 0.2415
Tm2 Tm 0.3312 0.3373 0.2645
Tm3 Tm 0.3309 0.3375 0.7353
Pb1 Pb 0.1485 0.7057 0.5001
Pb2 Pb 0.1719 0.6563 0.0001
Pb3 Pb 0.5000 0.0000 0.0000
```

Principal peaks in the range 10 to 90 degrees two-theta, sorted by position:
2θ (°)	d/Å	intensity	h k l
33.0	2.712	100.0	1 -1 2
33.2	2.702	98.8	1 2 2
34.6	2.596	41.2	0 3 0
35.7	2.513	42.8	2 1 0
44.3	2.045	22.3	0 0 4
50.4	1.811	15.0	2 -2 0
57.4	1.606	19.7	0 3 4
58.2	1.586	20.6	2 1 4
62.4	1.488	16.9	3 0 2
62.6	1.483	16.2	3 3 2

=====

Starting from a PBE-relaxed structure, the X-ray diffraction stick pattern of Tm2HPt6 was computed for Cu Kα.
Intensities are scaled so that the largest is 100.

Structural model:
```
data_Tm2HPt6
_symmetry_space_group_name_H-M 'F m -3 m'
_symmetry_Int_Tables_number 225
_symmetry_space_group_name_Hall '-F 4 2 3'
_cell_length_a 8.2353
_cell_length_b 8.2353
_cell_length_c 8.2353
_cell_angle_alpha 90.00
_cell_angle_beta 90.00
_cell_angle_gamma 90.00
loop_
_atom_site_label
_atom_site_type_symbol
_atom_site_fract_x
_atom_site_fract_y
_atom_site_fract_z
Tm1 Tm 0.2500 0.2500 0.2500
H1 H 0.0000 0.0000 0.0000
Pt1 Pt 0.0000 0.0000 0.2525
```

Principal peaks in the range 10 to 90 degrees two-theta, sorted by position:
2θ (°)	d/Å	intensity	h k l
37.8	2.377	100.0	2 2 2
44.0	2.059	49.6	4 0 0
63.9	1.456	33.0	4 4 0
76.8	1.242	39.1	6 2 2
80.9	1.189	11.5	4 4 4

=====

Starting from a PBE-relaxed structure, the X-ray diffraction stick pattern of Li7Hg2Ge was computed for Cu Kα.
Intensities are scaled so that the largest is 100.

Structural model:
```
data_Li7Hg2Ge
_symmetry_space_group_name_H-M 'P 3 m 1'
_symmetry_Int_Tables_number 156
_cell_length_a 4.5396
_cell_length_b 4.5396
_cell_length_c 10.5142
_cell_angle_alpha 90.00
_cell_angle_beta 90.00
_cell_angle_gamma 120.00
loop_
_symmetry_equiv_pos_as_xyz
'x,y,z'
'-y,x-y,z'
'-x+y,-x,z'
'-y,-x,z'
'-x+y,y,z'
'x,x-y,z'
loop_
_atom_site_label
_atom_site_type_symbol
_atom_site_fract_x
_atom_site_fract_y
_atom_site_fract_z
Li1 Li 0.0000 0.0000 0.0000
Li2 Li 0.0000 0.0000 0.2287
Li3 Li 0.0000 0.0000 0.4883
Li4 Li 0.3333 0.6667 0.0805
Li5 Li 0.3333 0.6667 0.6335
Li6 Li 0.6667 0.3333 0.3827
Li7 Li 0.6667 0.3333 0.8606
Hg1 Hg 0.0000 0.0000 0.7447
Hg2 Hg 0.3333 0.6667 0.3555
Ge1 Ge 0.6667 0.3333 0.1203
```

Principal peaks in the range 10 to 90 degrees two-theta, sorted by position:
2θ (°)	d/Å	intensity	h k l
16.9	5.257	20.7	0 0 2
24.2	3.682	100.0	1 0 1
25.4	3.505	16.9	0 0 3
28.3	3.148	47.0	0 1 2
34.3	2.616	20.8	1 0 3
39.7	2.270	30.2	1 1 0
41.3	2.185	29.2	0 1 4
47.0	1.932	17.5	0 2 1
47.7	1.905	19.1	1 1 3
63.2	1.471	14.6	2 1 1

=====

Starting from a PBE-relaxed structure, the X-ray diffraction stick pattern of HfCu3S4 was computed for Cu Kα.
Intensities are scaled so that the largest is 100.

Structural model:
```
data_HfCu3S4
_symmetry_space_group_name_H-M 'A m m 2'
_symmetry_Int_Tables_number 38
_cell_length_a 3.7477
_cell_length_b 8.4288
_cell_length_c 9.1980
_cell_angle_alpha 90.00
_cell_angle_beta 90.00
_cell_angle_gamma 90.00
loop_
_symmetry_equiv_pos_as_xyz
'x,y,z'
'-x,-y,z'
'-x,y,z'
'x,-y,z'
'x,y+1/2,z+1/2'
'-x,-y+1/2,z+1/2'
'-x,y+1/2,z+1/2'
'x,-y+1/2,z+1/2'
loop_
_atom_site_label
_atom_site_type_symbol
_atom_site_fract_x
_atom_site_fract_y
_atom_site_fract_z
Hf1 Hf 0.0000 0.0000 0.0000
Cu1 Cu 0.0000 0.0000 0.3443
Cu2 Cu 0.5000 0.2094 0.6429
S1 S 0.0000 0.2041 0.5065
S2 S 0.5000 0.0000 0.2039
S3 S 0.5000 0.0000 0.8095
```

Principal peaks in the range 10 to 90 degrees two-theta, sorted by position:
2θ (°)	d/Å	intensity	h k l
14.3	6.214	71.5	0 1 1
27.8	3.209	42.0	1 1 1
28.7	3.107	39.0	0 2 2
30.8	2.905	100.0	1 0 2
31.0	2.881	31.0	0 1 3
32.0	2.801	42.4	1 2 0
33.3	2.687	58.1	0 3 1
39.4	2.284	50.4	1 1 3
50.3	1.813	72.5	1 3 3
60.2	1.538	29.4	2 3 1

=====

Starting from a PBE-relaxed structure, the X-ray diffraction stick pattern of MgBi2Pb2 was computed for Cu Kα.
Intensities are scaled so that the largest is 100.

Structural model:
```
data_MgBi2Pb2
_symmetry_space_group_name_H-M 'P -1'
_symmetry_Int_Tables_number 2
_cell_length_a 4.6024
_cell_length_b 6.0998
_cell_length_c 11.7277
_cell_angle_alpha 89.32
_cell_angle_beta 89.92
_cell_angle_gamma 68.09
loop_
_symmetry_equiv_pos_as_xyz
'x,y,z'
'-x,-y,-z'
loop_
_atom_site_label
_atom_site_type_symbol
_atom_site_fract_x
_atom_site_fract_y
_atom_site_fract_z
Mg1 Mg 0.1520 0.2010 0.4552
Bi1 Bi 0.2506 0.9886 0.7009
Bi2 Bi 0.3426 0.7941 0.0500
Pb1 Pb 0.0688 0.3771 0.1469
Pb2 Pb 0.4596 0.5884 0.3596
```

Principal peaks in the range 10 to 90 degrees two-theta, sorted by position:
2θ (°)	d/Å	intensity	h k l
25.8	3.449	19.5	1 0 2
31.1	2.875	100.0	1 1 -3
31.5	2.843	56.3	-1 1 1
31.6	2.832	58.0	1 2 1
34.3	2.616	31.4	0 1 4
35.4	2.536	40.2	0 2 -2
39.1	2.301	35.7	2 1 0
50.7	1.802	12.9	0 3 2
53.0	1.728	18.5	2 0 -4
66.1	1.414	14.5	3 0 -1

=====

Starting from a PBE-relaxed structure, the X-ray diffraction stick pattern of HfScIO2 was computed for Cu Kα.
Intensities are scaled so that the largest is 100.

Structural model:
```
data_HfScIO2
_symmetry_space_group_name_H-M 'P 4/m m m'
_symmetry_Int_Tables_number 123
_symmetry_space_group_name_Hall '-P 4 2'
_cell_length_a 4.0857
_cell_length_b 4.0857
_cell_length_c 6.0978
_cell_angle_alpha 90.00
_cell_angle_beta 90.00
_cell_angle_gamma 90.00
loop_
_atom_site_label
_atom_site_type_symbol
_atom_site_fract_x
_atom_site_fract_y
_atom_site_fract_z
Hf1 Hf 0.0000 0.0000 0.0000
Sc1 Sc 0.5000 0.5000 0.5000
I1 I 0.0000 0.0000 0.5000
O1 O 0.0000 0.5000 0.0000
```

Principal peaks in the range 10 to 90 degrees two-theta, sorted by position:
2θ (°)	d/Å	intensity	h k l
21.8	4.086	100.0	1 0 0
26.3	3.394	17.6	1 0 1
29.3	3.049	53.6	0 0 2
31.0	2.889	62.0	1 1 0
36.8	2.444	52.8	1 0 2
43.1	2.097	50.5	1 1 2
44.3	2.043	33.4	2 0 0
49.9	1.827	22.4	2 1 0
54.0	1.697	36.5	2 0 2
58.9	1.567	27.5	2 1 2

=====

Starting from a PBE-relaxed structure, the X-ray diffraction stick pattern of CsReBiO6 was computed for Cu Kα.
Intensities are scaled so that the largest is 100.

Structural model:
```
data_CsReBiO6
_symmetry_space_group_name_H-M 'C 1 2 1'
_symmetry_Int_Tables_number 5
_cell_length_a 5.7317
_cell_length_b 9.7771
_cell_length_c 6.5295
_cell_angle_alpha 90.00
_cell_angle_beta 90.28
_cell_angle_gamma 90.00
loop_
_symmetry_equiv_pos_as_xyz
'x,y,z'
'-x,y,-z'
'x+1/2,y+1/2,z'
'-x+1/2,y+1/2,-z'
loop_
_atom_site_label
_atom_site_type_symbol
_atom_site_fract_x
_atom_site_fract_y
_atom_site_fract_z
Cs1 Cs 0.0000 0.0000 0.0000
Re1 Re 0.0000 0.3307 0.5000
Bi1 Bi 0.0000 0.6668 0.5000
O1 O 0.1097 0.4808 0.6658
O2 O 0.1805 0.2158 0.6794
O3 O 0.2494 0.2975 0.3177
```

Principal peaks in the range 10 to 90 degrees two-theta, sorted by position:
2θ (°)	d/Å	intensity	h k l
13.6	6.529	66.2	0 0 1
22.6	3.942	100.0	1 1 -1
22.7	3.913	50.4	0 2 1
27.3	3.265	28.9	0 0 2
31.2	2.866	21.8	2 0 0
31.6	2.833	45.3	1 3 0
34.5	2.598	19.2	1 3 1
42.2	2.142	20.8	1 3 -2
42.3	2.137	29.6	1 3 2
66.0	1.416	22.8	1 3 -4

=====

Starting from a PBE-relaxed structure, the X-ray diffraction stick pattern of Y6TlTe3Ir2 was computed for Cu Kα.
Intensities are scaled so that the largest is 100.

Structural model:
```
data_Y6TlTe3Ir2
_symmetry_space_group_name_H-M 'C 1 2/m 1'
_symmetry_Int_Tables_number 12
_cell_length_a 19.2883
_cell_length_b 4.1533
_cell_length_c 8.9068
_cell_angle_alpha 90.00
_cell_angle_beta 109.70
_cell_angle_gamma 90.00
loop_
_symmetry_equiv_pos_as_xyz
'x,y,z'
'-x,-y,-z'
'-x,y,-z'
'x,-y,z'
'x+1/2,y+1/2,z'
'-x+1/2,-y+1/2,-z'
'-x+1/2,y+1/2,-z'
'x+1/2,-y+1/2,z'
loop_
_atom_site_label
_atom_site_type_symbol
_atom_site_fract_x
_atom_site_fract_y
_atom_site_fract_z
Y1 Y 0.0081 0.0000 0.2593
Y2 Y 0.1710 0.5000 0.1068
Y3 Y 0.1830 0.5000 0.5490
Tl1 Tl 0.0000 0.5000 0.0000
Te1 Te 0.0000 0.5000 0.5000
Te2 Te 0.1631 0.0000 0.8245
Ir1 Ir 0.1615 0.0000 0.3159
```

Principal peaks in the range 10 to 90 degrees two-theta, sorted by position:
2θ (°)	d/Å	intensity	h k l
11.7	7.560	11.8	2 0 -1
29.5	3.028	100.0	1 1 -2
40.5	2.228	26.1	7 1 -2
40.8	2.213	11.9	2 0 -4
43.6	2.077	12.1	0 2 0
43.9	2.063	21.8	5 1 2
53.5	1.712	12.3	6 2 0
61.2	1.514	10.5	2 2 -4
67.0	1.398	10.0	8 2 -4
71.8	1.314	8.6	4 2 4